(1)
# Ti2Re3
Computed XRD peak list, Cu Kα X-rays. Input: the PBE geometry in Alexandria.
Peak positions follow from Bragg's law for the DFT cell and can differ from measured ones.

Crystal structure
Lattice parameters (Å, degrees): 3.099 3.099 15.725 90.00 90.00 90.00
Atoms (fractional coordinates):
Ti 0.000 0.000 0.100
Ti 0.000 0.000 0.297
Ti 0.000 0.000 0.703
Ti 0.000 0.000 0.900
Re 0.000 0.000 0.500
Re 0.500 0.500 0.000
Re 0.500 0.500 0.201
Re 0.500 0.500 0.399
Re 0.500 0.500 0.601
Re 0.500 0.500 0.799

Most intense lines, 2θ = 10–90°, by angle:
| 2θ (°) | intensity |
| --- | --- |
| 28.4 | 12 |
| 28.8 | 22 |
| 40.9 | 100 |
| 41.2 | 49 |
| 50.8 | 10 |
| 58.7 | 9 |
| 59.7 | 16 |
| 74.2 | 17 |
| 74.9 | 33 |
| 88.6 | 11 |

(2)
# Ti5Re24
Computed XRD peak list, Cu Kα X-rays. Input: the PBE geometry in Alexandria.
Peak positions follow from Bragg's law for the DFT cell and can differ from measured ones.

Crystal structure
Lattice parameters (Å, degrees): 8.355 8.355 8.355 109.47 109.47 109.47
Atoms (fractional coordinates):
Ti 0.000 0.000 0.000
Ti 0.000 0.000 0.367
Ti 0.000 0.367 0.000
Ti 0.367 0.000 0.000
Ti 0.633 0.633 0.633
Re 0.000 0.318 0.599
Re 0.000 0.599 0.318
Re 0.000 0.624 0.807
Re 0.000 0.807 0.624
Re 0.183 0.376 0.376
Re 0.193 0.193 0.817
Re 0.193 0.817 0.193
Re 0.282 0.682 0.682
Re 0.318 0.000 0.599
Re 0.318 0.599 0.000
Re 0.376 0.183 0.376
Re 0.376 0.376 0.183
Re 0.401 0.401 0.718
Re 0.401 0.718 0.401
Re 0.599 0.000 0.318
Re 0.599 0.318 0.000
Re 0.624 0.000 0.807
Re 0.624 0.807 0.000
Re 0.682 0.282 0.682
Re 0.682 0.682 0.282
Re 0.718 0.401 0.401
Re 0.807 0.000 0.624
Re 0.807 0.624 0.000
Re 0.817 0.193 0.193

Most intense lines, 2θ = 10–90°, by angle:
| 2θ (°) | intensity |
| --- | --- |
| 13.0 | 9 |
| 22.6 | 15 |
| 37.3 | 11 |
| 39.6 | 100 |
| 44.0 | 42 |
| 48.1 | 40 |
| 68.8 | 10 |
| 71.9 | 29 |
| 73.4 | 13 |
| 85.4 | 13 |

(3)
# TiV4Re
Computed XRD peak list, Cu Kα X-rays. Input: the PBE geometry in Alexandria.
Peak positions follow from Bragg's law for the DFT cell and can differ from measured ones.

Crystal structure
Lattice parameters (Å, degrees): 5.203 4.355 7.920 90.00 108.76 90.00
Atoms (fractional coordinates):
Ti 0.127 0.250 0.253
Ti 0.873 0.750 0.747
V 0.123 0.250 0.917
V 0.126 0.250 0.592
V 0.375 0.750 0.082
V 0.382 0.750 0.428
V 0.618 0.250 0.572
V 0.625 0.250 0.918
V 0.874 0.750 0.408
V 0.877 0.750 0.083
Re 0.374 0.750 0.751
Re 0.626 0.250 0.249

Most intense lines, 2θ = 10–90°, by angle:
| 2θ (°) | intensity |
| --- | --- |
| 18.0 | 41 |
| 23.6 | 40 |
| 23.7 | 19 |
| 27.4 | 30 |
| 41.5 | 50 |
| 41.7 | 98 |
| 42.1 | 100 |
| 42.4 | 46 |
| 60.8 | 30 |
| 76.1 | 38 |

Repeat the third record exactly.
# TiV4Re
Computed XRD peak list, Cu Kα X-rays. Input: the PBE geometry in Alexandria.
Peak positions follow from Bragg's law for the DFT cell and can differ from measured ones.

Crystal structure
Lattice parameters (Å, degrees): 5.203 4.355 7.920 90.00 108.76 90.00
Atoms (fractional coordinates):
Ti 0.127 0.250 0.253
Ti 0.873 0.750 0.747
V 0.123 0.250 0.917
V 0.126 0.250 0.592
V 0.375 0.750 0.082
V 0.382 0.750 0.428
V 0.618 0.250 0.572
V 0.625 0.250 0.918
V 0.874 0.750 0.408
V 0.877 0.750 0.083
Re 0.374 0.750 0.751
Re 0.626 0.250 0.249

Most intense lines, 2θ = 10–90°, by angle:
| 2θ (°) | intensity |
| --- | --- |
| 18.0 | 41 |
| 23.6 | 40 |
| 23.7 | 19 |
| 27.4 | 30 |
| 41.5 | 50 |
| 41.7 | 98 |
| 42.1 | 100 |
| 42.4 | 46 |
| 60.8 | 30 |
| 76.1 | 38 |